(1)
Structure and computed XRD peak list of TlIn5 (the GGA-PBE geometry in Alexandria; λ = 1.5418 Å (Cu Kα)).
Kinematic intensities with the Lorentz-polarization factor, no thermal factor.

Atomic structure:
```
data_TlIn5
_chemical_formula_sum 'Tl1 In5'
_cell_length_a 8.756
_cell_length_b 8.756
_cell_length_c 3.672
_cell_angle_alpha 90.00
_cell_angle_beta 90.00
_cell_angle_gamma 143.38
_symmetry_space_group_name_H-M 'P 1'
_symmetry_Int_Tables_number 1
_symmetry_space_group_name_Hall 'P 1'
loop_
_atom_site_label
_atom_site_type_symbol
_atom_site_fract_x
_atom_site_fract_y
_atom_site_fract_z
Tl1 Tl 0.000 0.000 0.000
In1 In 0.174 0.826 0.500
In2 In 0.338 0.662 0.000
In3 In 0.500 0.500 0.500
In4 In 0.662 0.338 0.000
In5 In 0.826 0.174 0.500
```

Peak list (8 most intense, 10 to 90 degrees two-theta, in order of rising 2θ)
2θ (°), intensity
32.3, 26.8
32.6, 27.3
33.5, 100.0
46.5, 19.2
58.4, 18.5
58.7, 19.4
60.6, 8.9
70.4, 10.9

=====

(2)
Structure and computed XRD peak list of TlIn5 (the GGA-PBE geometry in Alexandria; λ = 1.5418 Å (Cu Kα)).
Kinematic intensities with the Lorentz-polarization factor, no thermal factor.

Atomic structure:
```
data_TlIn5
_chemical_formula_sum 'Tl1 In5'
_cell_length_a 5.896
_cell_length_b 5.896
_cell_length_c 5.598
_cell_angle_alpha 90.00
_cell_angle_beta 90.00
_cell_angle_gamma 120.00
_symmetry_space_group_name_H-M 'P 1'
_symmetry_Int_Tables_number 1
_symmetry_space_group_name_Hall 'P 1'
loop_
_atom_site_label
_atom_site_type_symbol
_atom_site_fract_x
_atom_site_fract_y
_atom_site_fract_z
Tl1 Tl 0.000 0.000 0.000
In1 In 0.000 0.661 0.500
In2 In 0.333 0.667 0.000
In3 In 0.339 0.339 0.500
In4 In 0.661 0.000 0.500
In5 In 0.667 0.333 0.000
```

Peak list (8 most intense, 10 to 90 degrees two-theta, in order of rising 2θ)
2θ (°), intensity
30.3, 23.9
32.0, 26.9
34.4, 100.0
44.6, 16.4
53.9, 18.0
58.5, 21.0
64.0, 21.2
65.5, 14.9

=====

(3)
Structure and computed XRD peak list of TlIn5 (the GGA-PBE geometry in Alexandria; λ = 1.5418 Å (Cu Kα)).
Kinematic intensities with the Lorentz-polarization factor, no thermal factor.

Atomic structure:
```
data_TlIn5
_chemical_formula_sum 'Tl1 In5'
_cell_length_a 6.575
_cell_length_b 6.575
_cell_length_c 8.010
_cell_angle_alpha 104.72
_cell_angle_beta 104.72
_cell_angle_gamma 30.18
_symmetry_space_group_name_H-M 'P 1'
_symmetry_Int_Tables_number 1
_symmetry_space_group_name_Hall 'P 1'
loop_
_atom_site_label
_atom_site_type_symbol
_atom_site_fract_x
_atom_site_fract_y
_atom_site_fract_z
Tl1 Tl 0.000 0.000 0.000
In1 In 0.277 0.277 0.059
In2 In 0.337 0.337 0.663
In3 In 0.620 0.620 0.721
In4 In 0.677 0.677 0.341
In5 In 0.953 0.953 0.396
```

Peak list (8 most intense, 10 to 90 degrees two-theta, in order of rising 2θ)
2θ (°), intensity
30.2, 30.3
30.4, 16.9
32.2, 51.7
34.2, 100.0
34.5, 65.9
34.8, 30.8
44.4, 16.2
53.9, 23.4

=====

(4)
Structure and computed XRD peak list of Tl5In2 (the GGA-PBE geometry in Alexandria; λ = 1.5418 Å (Cu Kα)).
Kinematic intensities with the Lorentz-polarization factor, no thermal factor.

Atomic structure:
```
data_Tl5In2
_chemical_formula_sum 'Tl5 In2'
_cell_length_a 18.480
_cell_length_b 18.480
_cell_length_c 18.480
_cell_angle_alpha 169.53
_cell_angle_beta 169.53
_cell_angle_gamma 14.83
_symmetry_space_group_name_H-M 'P 1'
_symmetry_Int_Tables_number 1
_symmetry_space_group_name_Hall 'P 1'
loop_
_atom_site_label
_atom_site_type_symbol
_atom_site_fract_x
_atom_site_fract_y
_atom_site_fract_z
Tl1 Tl 0.000 0.000 0.000
Tl2 Tl 0.147 0.147 0.000
Tl3 Tl 0.427 0.427 0.000
Tl4 Tl 0.573 0.573 0.000
Tl5 Tl 0.853 0.853 0.000
In1 In 0.283 0.283 0.000
In2 In 0.717 0.717 0.000
```

Peak list (8 most intense, 10 to 90 degrees two-theta, in order of rising 2θ)
2θ (°), intensity
31.5, 100.0
34.3, 19.3
37.7, 31.5
51.9, 24.1
59.6, 14.8
64.3, 26.4
65.9, 11.8
85.0, 11.2

=====

(5)
Structure and computed XRD peak list of Tl5In4 (the GGA-PBE geometry in Alexandria; λ = 1.5418 Å (Cu Kα)).
Kinematic intensities with the Lorentz-polarization factor, no thermal factor.

Atomic structure:
```
data_Tl5In4
_chemical_formula_sum 'Tl5 In4'
_cell_length_a 8.254
_cell_length_b 8.254
_cell_length_c 8.254
_cell_angle_alpha 93.60
_cell_angle_beta 93.60
_cell_angle_gamma 150.97
_symmetry_space_group_name_H-M 'P 1'
_symmetry_Int_Tables_number 1
_symmetry_space_group_name_Hall 'P 1'
loop_
_atom_site_label
_atom_site_type_symbol
_atom_site_fract_x
_atom_site_fract_y
_atom_site_fract_z
Tl1 Tl 0.000 0.000 0.000
Tl2 Tl 0.332 0.332 0.665
Tl3 Tl 0.332 0.668 0.000
Tl4 Tl 0.668 0.332 0.000
Tl5 Tl 0.668 0.668 0.335
In1 In 0.000 0.340 0.340
In2 In 0.000 0.660 0.660
In3 In 0.340 0.000 0.340
In4 In 0.660 0.000 0.660
```

Peak list (8 most intense, 10 to 90 degrees two-theta, in order of rising 2θ)
2θ (°), intensity
32.1, 100.0
33.6, 44.2
43.8, 10.8
48.3, 16.0
56.3, 20.4
59.2, 34.7
67.2, 11.9
73.1, 9.4

=====

(6)
Structure and computed XRD peak list of Tl7In2 (the GGA-PBE geometry in Alexandria; λ = 1.5418 Å (Cu Kα)).
Kinematic intensities with the Lorentz-polarization factor, no thermal factor.

Atomic structure:
```
data_Tl7In2
_chemical_formula_sum 'Tl7 In2'
_cell_length_a 9.573
_cell_length_b 9.573
_cell_length_c 3.414
_cell_angle_alpha 90.00
_cell_angle_beta 90.00
_cell_angle_gamma 120.00
_symmetry_space_group_name_H-M 'P 1'
_symmetry_Int_Tables_number 1
_symmetry_space_group_name_Hall 'P 1'
loop_
_atom_site_label
_atom_site_type_symbol
_atom_site_fract_x
_atom_site_fract_y
_atom_site_fract_z
Tl1 Tl 0.000 0.000 0.000
Tl2 Tl 0.000 0.314 0.500
Tl3 Tl 0.000 0.644 0.000
Tl4 Tl 0.314 0.000 0.500
Tl5 Tl 0.356 0.356 0.000
Tl6 Tl 0.644 0.000 0.000
Tl7 Tl 0.686 0.686 0.500
In1 In 0.333 0.667 0.500
In2 In 0.667 0.333 0.500
```

Peak list (8 most intense, 10 to 90 degrees two-theta, in order of rising 2θ)
2θ (°), intensity
32.2, 85.6
32.4, 100.0
34.0, 17.7
46.3, 28.6
55.3, 13.9
57.7, 26.9
57.8, 16.7
64.1, 28.6

=====

(7)
Structure and computed XRD peak list of TlIn8 (the GGA-PBE geometry in Alexandria; λ = 1.5418 Å (Cu Kα)).
Kinematic intensities with the Lorentz-polarization factor, no thermal factor.

Atomic structure:
```
data_TlIn8
_chemical_formula_sum 'Tl1 In8'
_cell_length_a 7.351
_cell_length_b 7.351
_cell_length_c 7.351
_cell_angle_alpha 97.43
_cell_angle_beta 97.43
_cell_angle_gamma 137.85
_symmetry_space_group_name_H-M 'P 1'
_symmetry_Int_Tables_number 1
_symmetry_space_group_name_Hall 'P 1'
loop_
_atom_site_label
_atom_site_type_symbol
_atom_site_fract_x
_atom_site_fract_y
_atom_site_fract_z
Tl1 Tl 0.000 0.000 0.000
In1 In 0.000 0.336 0.336
In2 In 0.000 0.664 0.664
In3 In 0.332 0.332 0.663
In4 In 0.332 0.668 0.000
In5 In 0.336 0.000 0.336
In6 In 0.664 0.000 0.664
In7 In 0.668 0.332 0.000
In8 In 0.668 0.668 0.337
```

Peak list (8 most intense, 10 to 90 degrees two-theta, in order of rising 2θ)
2θ (°), intensity
32.5, 100.0
33.9, 22.2
39.4, 29.3
53.0, 24.4
59.8, 16.8
67.1, 23.4
68.0, 11.3
87.2, 11.8

=====

(8)
Structure and computed XRD peak list of TlIn5 (the GGA-PBE geometry in Alexandria; λ = 1.5418 Å (Cu Kα)).
Kinematic intensities with the Lorentz-polarization factor, no thermal factor.

Atomic structure:
```
data_TlIn5
_chemical_formula_sum 'Tl1 In5'
_cell_length_a 3.498
_cell_length_b 3.498
_cell_length_c 13.646
_cell_angle_alpha 90.00
_cell_angle_beta 90.00
_cell_angle_gamma 90.00
_symmetry_space_group_name_H-M 'P 1'
_symmetry_Int_Tables_number 1
_symmetry_space_group_name_Hall 'P 1'
loop_
_atom_site_label
_atom_site_type_symbol
_atom_site_fract_x
_atom_site_fract_y
_atom_site_fract_z
Tl1 Tl 0.000 0.000 0.000
In1 In 0.000 0.000 0.337
In2 In 0.000 0.000 0.663
In3 In 0.500 0.500 0.173
In4 In 0.500 0.500 0.500
In5 In 0.500 0.500 0.827
```

Peak list (8 most intense, 10 to 90 degrees two-theta, in order of rising 2θ)
2θ (°), intensity
32.3, 100.0
36.3, 36.6
39.6, 14.0
52.3, 12.6
54.8, 21.3
62.8, 28.6
67.3, 11.0
67.6, 11.3

=====

(9)
Structure and computed XRD peak list of TlIn6 (the GGA-PBE geometry in Alexandria; λ = 1.5418 Å (Cu Kα)).
Kinematic intensities with the Lorentz-polarization factor, no thermal factor.

Atomic structure:
```
data_TlIn6
_chemical_formula_sum 'Tl1 In6'
_cell_length_a 4.762
_cell_length_b 4.762
_cell_length_c 8.967
_cell_angle_alpha 90.00
_cell_angle_beta 90.00
_cell_angle_gamma 90.00
_symmetry_space_group_name_H-M 'P 1'
_symmetry_Int_Tables_number 1
_symmetry_space_group_name_Hall 'P 1'
loop_
_atom_site_label
_atom_site_type_symbol
_atom_site_fract_x
_atom_site_fract_y
_atom_site_fract_z
Tl1 Tl 0.000 0.000 0.000
In1 In 0.000 0.000 0.500
In2 In 0.000 0.500 0.275
In3 In 0.000 0.500 0.725
In4 In 0.500 0.000 0.275
In5 In 0.500 0.000 0.725
In6 In 0.500 0.500 0.000
```

Peak list (8 most intense, 10 to 90 degrees two-theta, in order of rising 2θ)
2θ (°), intensity
18.6, 10.6
28.3, 14.5
33.3, 100.0
37.8, 37.2
40.2, 12.7
54.5, 12.6
56.4, 18.5
65.4, 28.1

=====

(10)
Structure and computed XRD peak list of Tl2In3 (the GGA-PBE geometry in Alexandria; λ = 1.5418 Å (Cu Kα)).
Kinematic intensities with the Lorentz-polarization factor, no thermal factor.

Atomic structure:
```
data_Tl2In3
_chemical_formula_sum 'Tl4 In6'
_cell_length_a 6.904
_cell_length_b 6.904
_cell_length_c 6.904
_cell_angle_alpha 77.96
_cell_angle_beta 77.96
_cell_angle_gamma 77.96
_symmetry_space_group_name_H-M 'P 1'
_symmetry_Int_Tables_number 1
_symmetry_space_group_name_Hall 'P 1'
loop_
_atom_site_label
_atom_site_type_symbol
_atom_site_fract_x
_atom_site_fract_y
_atom_site_fract_z
Tl1 Tl 0.113 0.113 0.113
Tl2 Tl 0.387 0.387 0.387
Tl3 Tl 0.613 0.613 0.613
Tl4 Tl 0.887 0.887 0.887
In1 In 0.044 0.750 0.456
In2 In 0.250 0.544 0.956
In3 In 0.456 0.044 0.750
In4 In 0.544 0.956 0.250
In5 In 0.750 0.456 0.044
In6 In 0.956 0.250 0.544
```

Peak list (8 most intense, 10 to 90 degrees two-theta, in order of rising 2θ)
2θ (°), intensity
20.5, 46.1
27.7, 43.4
27.8, 67.6
34.7, 48.8
35.8, 100.0
40.6, 53.8
53.1, 29.7
59.5, 32.2

=====

(11)
Structure and computed XRD peak list of Tm6Tl5In (the GGA-PBE geometry in Alexandria; λ = 1.5418 Å (Cu Kα)).
Kinematic intensities with the Lorentz-polarization factor, no thermal factor.

Atomic structure:
```
data_Tm6Tl5In
_chemical_formula_sum 'Tm6 Tl5 In1'
_cell_length_a 8.443
_cell_length_b 8.443
_cell_length_c 7.389
_cell_angle_alpha 90.00
_cell_angle_beta 90.00
_cell_angle_gamma 143.10
_symmetry_space_group_name_H-M 'P 1'
_symmetry_Int_Tables_number 1
_symmetry_space_group_name_Hall 'P 1'
loop_
_atom_site_label
_atom_site_type_symbol
_atom_site_fract_x
_atom_site_fract_y
_atom_site_fract_z
Tm1 Tm 0.000 0.000 0.249
Tm2 Tm 0.000 0.000 0.751
Tm3 Tm 0.334 0.666 0.249
Tm4 Tm 0.334 0.666 0.751
Tm5 Tm 0.666 0.334 0.249
Tm6 Tm 0.666 0.334 0.751
Tl1 Tl 0.167 0.833 0.000
Tl2 Tl 0.167 0.833 0.500
Tl3 Tl 0.500 0.500 0.500
Tl4 Tl 0.833 0.167 0.000
Tl5 Tl 0.833 0.167 0.500
In1 In 0.500 0.500 0.000
```

Peak list (8 most intense, 10 to 90 degrees two-theta, in order of rising 2θ)
2θ (°), intensity
33.6, 51.6
33.9, 100.0
48.2, 18.9
49.3, 8.8
60.2, 39.0
61.0, 18.8
71.4, 11.8
80.4, 8.6

=====

(12)
Structure and computed XRD peak list of Tm6Tl5In (the GGA-PBE geometry in Alexandria; λ = 1.5418 Å (Cu Kα)).
Kinematic intensities with the Lorentz-polarization factor, no thermal factor.

Atomic structure:
```
data_Tm6Tl5In
_chemical_formula_sum 'Tm6 Tl5 In1'
_cell_length_a 7.412
_cell_length_b 7.412
_cell_length_c 6.341
_cell_angle_alpha 98.47
_cell_angle_beta 98.47
_cell_angle_gamma 96.68
_symmetry_space_group_name_H-M 'P 1'
_symmetry_Int_Tables_number 1
_symmetry_space_group_name_Hall 'P 1'
loop_
_atom_site_label
_atom_site_type_symbol
_atom_site_fract_x
_atom_site_fract_y
_atom_site_fract_z
Tm1 Tm 0.084 0.415 0.750
Tm2 Tm 0.249 0.249 0.246
Tm3 Tm 0.415 0.084 0.750
Tm4 Tm 0.585 0.916 0.250
Tm5 Tm 0.751 0.751 0.754
Tm6 Tm 0.916 0.585 0.250
Tl1 Tl 0.000 0.000 0.500
Tl2 Tl 0.170 0.830 0.000
Tl3 Tl 0.336 0.664 0.500
Tl4 Tl 0.664 0.336 0.500
Tl5 Tl 0.830 0.170 0.000
In1 In 0.500 0.500 0.000
```

Peak list (8 most intense, 10 to 90 degrees two-theta, in order of rising 2θ)
2θ (°), intensity
30.7, 100.0
37.4, 19.8
37.6, 39.0
37.9, 19.0
49.7, 17.7
59.0, 10.7
63.6, 17.0
63.9, 12.5

=====

Number 4 is which compound? Tl5In2